The following is a calculated powder X-ray diffraction pattern of Tm2CoGe4. It was derived from a structure optimized by DFT (PBE), using Cu Kα (weighted mean of Kα1 and Kα2).

The 6 most intense peaks (10° ≤ 2θ ≤ 90°), in order of rising 2θ:
d [Å]	I_rel	hkl
2.533	100	1 1 3
2.490	22	0 1 5
2.198	19	1 0 6
2.056	21	0 2 0
2.042	21	2 0 0
1.260	18	1 3 3

Crystal structure
Cell lengths 4.0836, 4.1114, 15.6475 Å; angles 90.00, 90.00, 90.00 degrees
Space group Amm2 (No. 38)
Inequivalent atoms, fractional coordinates:
Tm (0.0000, 0.0000, 0.0000)
Tm (0.5000, 0.0000, 0.2085)
Co (0.0000, 0.0000, 0.7947)
Ge (0.0000, 0.0000, 0.3641)
Ge (0.0000, 0.0000, 0.6487)
Ge (0.5000, 0.0000, 0.5422)
Ge (0.5000, 0.0000, 0.8626)